[1]
Diffraction record for SrCu2SbSe4. The PXRD pattern is theoretical, not measured: it uses a DFT-relaxed cell (GGA-PBE, Alexandria) and Cu Kα, 1.54184 Å.
Intensities are scaled so that the largest is 100.

Most intense lines, 10° ≤ 2θ ≤ 90°, low angle first:
15.98 deg, intensity 35
28.05 deg, intensity 100
29.24 deg, intensity 30
32.28 deg, intensity 34
34.31 deg, intensity 38
35.64 deg, intensity 84
44.38 deg, intensity 24
47.49 deg, intensity 25
47.87 deg, intensity 35
56.72 deg, intensity 17

Atomic structure:
Cell lengths 6.5187, 6.5187, 6.5187 Å; angles 117.32, 109.48, 101.98 degrees
Atoms (fractional coordinates):
Sr: 0.0000 0.0000 0.0000
Cu: 0.3373 0.8373 0.5000
Cu: 0.6627 0.1627 0.5000
Sb: 0.5000 0.5000 0.0000
Se: 0.1111 0.0703 0.5660
Se: 0.4957 0.9297 0.0408
Se: 0.5043 0.5451 0.4340
Se: 0.8889 0.4549 0.9592

[2]
Diffraction record for Tl3CuSb3Se8. The PXRD pattern is theoretical, not measured: it uses a DFT-relaxed cell (GGA-PBE, Alexandria) and Cu Kα, 1.54184 Å.
Intensities are scaled so that the largest is 100.

Most intense lines, 10° ≤ 2θ ≤ 90°, low angle first:
14.89 deg, intensity 11
22.81 deg, intensity 16
26.05 deg, intensity 14
29.30 deg, intensity 56
30.03 deg, intensity 100
39.83 deg, intensity 18
40.45 deg, intensity 39
44.39 deg, intensity 31
45.97 deg, intensity 17
55.45 deg, intensity 16

Atomic structure:
Cell lengths 8.1694, 8.1694, 9.1344 Å; angles 117.24, 117.24, 57.81 degrees
Atoms (fractional coordinates):
Tl: 0.0000 0.0000 0.0000
Tl: 0.0000 0.5000 0.0000
Tl: 0.5000 0.0000 0.0000
Cu: 0.0000 0.0000 0.5000
Sb: 0.0000 0.5000 0.5000
Sb: 0.5000 0.0000 0.5000
Sb: 0.5000 0.5000 0.5000
Se: 0.1984 0.7754 0.6790
Se: 0.2246 0.8016 0.3210
Se: 0.2637 0.2637 0.2853
Se: 0.2901 0.2901 0.7504
Se: 0.7099 0.7099 0.2496
Se: 0.7363 0.7363 0.7147
Se: 0.7754 0.1984 0.6790
Se: 0.8016 0.2246 0.3210

[3]
Diffraction record for SmCuSb2. The PXRD pattern is theoretical, not measured: it uses a DFT-relaxed cell (GGA-PBE, Alexandria) and Cu Kα, 1.54184 Å.
Intensities are scaled so that the largest is 100.

Most intense lines, 10° ≤ 2θ ≤ 90°, low angle first:
27.16 deg, intensity 15
30.34 deg, intensity 13
33.91 deg, intensity 21
34.19 deg, intensity 100
41.41 deg, intensity 42
50.28 deg, intensity 22
54.56 deg, intensity 11
60.01 deg, intensity 14
67.12 deg, intensity 15
70.91 deg, intensity 23

Atomic structure:
Cell lengths 4.3605, 4.3605, 9.9745 Å; angles 90.00, 90.00, 90.00 degrees
Atoms (fractional coordinates):
Sm: 0.2500 0.2500 0.2502
Sm: 0.7500 0.7500 0.7498
Cu: 0.2500 0.7500 0.0000
Cu: 0.7500 0.2500 0.0000
Sb: 0.2500 0.2500 0.8440
Sb: 0.2500 0.7500 0.5000
Sb: 0.7500 0.2500 0.5000
Sb: 0.7500 0.7500 0.1560

[4]
Diffraction record for SrCuSb4. The PXRD pattern is theoretical, not measured: it uses a DFT-relaxed cell (GGA-PBE, Alexandria) and Cu Kα, 1.54184 Å.
Intensities are scaled so that the largest is 100.

Most intense lines, 10° ≤ 2θ ≤ 90°, low angle first:
17.30 deg, intensity 23
28.44 deg, intensity 15
33.48 deg, intensity 100
35.02 deg, intensity 55
40.66 deg, intensity 12
53.65 deg, intensity 34
58.85 deg, intensity 31
69.43 deg, intensity 11
70.35 deg, intensity 21
83.69 deg, intensity 21

Atomic structure:
Cell lengths 6.2765, 6.2765, 6.2765 Å; angles 60.00, 60.00, 60.00 degrees
Atoms (fractional coordinates):
Sr: 0.0000 0.0000 0.0000
Cu: 0.7500 0.7500 0.7500
Sb: 0.3763 0.3763 0.3763
Sb: 0.3763 0.3763 0.8712
Sb: 0.3763 0.8712 0.3763
Sb: 0.8712 0.3763 0.3763